Theoretical powder diffractogram
Compound: SrCa3Al6Si6H2O26
Radiation: Cu Ka
Structure: a crystal structure in the Materials Project, relaxed with PBE

Atomic structure:
Lattice parameters (Å, degrees): 8.951 5.641 10.350 90.00 115.04 90.00
Atoms (fractional coordinates):
Sr (0.000, 0.000, 0.000)
Ca (0.199, 0.500, 0.834)
Ca (0.360, 0.500, 0.580)
Ca (0.825, 0.000, 0.260)
Al (0.309, 0.500, 0.199)
Al (0.592, 0.250, 0.420)
Al (0.592, 0.750, 0.420)
Al (0.593, 0.250, 0.921)
Al (0.593, 0.750, 0.921)
Al (0.876, 0.000, 0.639)
Si (0.257, 0.000, 0.377)
Si (0.271, 0.000, 0.698)
Si (0.416, 0.000, 0.109)
Si (0.771, 0.500, 0.731)
Si (0.913, 0.500, 0.145)
Si (0.929, 0.500, 0.466)
H (0.545, 0.500, 0.098)
H (0.639, 0.000, 0.741)
O (0.074, 0.000, 0.257)
O (0.086, 0.500, 0.131)
O (0.098, 0.000, 0.710)
O (0.111, 0.500, 0.590)
O (0.253, 0.000, 0.534)
O (0.298, 0.237, 0.074)
O (0.298, 0.763, 0.074)
O (0.358, 0.248, 0.373)
O (0.358, 0.752, 0.373)
O (0.378, 0.239, 0.772)
O (0.378, 0.761, 0.772)
O (0.516, 0.500, 0.995)
O (0.536, 0.000, 0.022)
O (0.539, 0.500, 0.290)
O (0.557, 0.000, 0.279)
O (0.627, 0.500, 0.561)
O (0.646, 0.000, 0.550)
O (0.650, 0.500, 0.817)
O (0.665, 0.000, 0.843)
O (0.804, 0.264, 0.071)
O (0.804, 0.736, 0.071)
O (0.828, 0.252, 0.467)
O (0.828, 0.748, 0.467)
O (0.888, 0.264, 0.763)
O (0.888, 0.736, 0.763)
O (0.938, 0.500, 0.311)

The 12 most intense peaks (5 to 70 degrees two-theta), low angle first:
2θ (°)  I_rel  (hkl)
17.4  19  1 0 -2
25.4  30  2 1 -1
27.4  17  2 0 1
30.4  100  1 1 -3
31.7  44  0 2 0
32.8  24  0 1 3
33.6  17  1 2 0
34.3  32  3 1 -1
37.2  27  3 1 -3
42.4  20  2 2 1
55.7  16  5 1 -1
66.3  27  0 4 0